Computed XRD peak list
Compound: Na3Sb
Radiation: Cu Kα (weighted mean of Kα1 and Kα2)
Structure: a cell relaxed with PBE
Neutral-atom scattering factors, no anomalous dispersion.

Peak list (10 most intense, 15 to 90 degrees two-theta, in order of rising 2θ)
- 18.6 deg, I 48, hkl 0 0 2
- 19.1 deg, I 34, hkl 1 0 0
- 21.2 deg, I 100, hkl 1 0 1
- 33.3 deg, I 87, hkl 1 1 0
- 34.1 deg, I 93, hkl 1 0 3
- 38.4 deg, I 45, hkl 1 1 2
- 39.9 deg, I 20, hkl 2 0 1
- 48.4 deg, I 34, hkl 2 0 3
- 51.1 deg, I 20, hkl 1 1 4
- 60.1 deg, I 34, hkl 2 1 3

Crystal structure
Cell lengths 5.3759, 5.3759, 9.5605 Å; angles 90.00, 90.00, 120.00 degrees
Positions (direct):
Na 0.0000 0.0000 0.2500
Na 0.0000 0.0000 0.7500
Na 0.3333 0.6667 0.0826
Na 0.3333 0.6667 0.4174
Na 0.6667 0.3333 0.5826
Na 0.6667 0.3333 0.9174
Sb 0.3333 0.6667 0.7500
Sb 0.6667 0.3333 0.2500